(1)
Diffraction record for Mg6VC. The powder XRD pattern is theoretical, not measured: it uses a structure optimized by DFT (PBE) and λ = 1.5418 Å (Cu Kα).
Neutral-atom scattering factors, no anomalous dispersion.

Crystal structure
Cell lengths 4.539, 5.776, 11.754 Å; angles 90.00, 90.00, 90.00 degrees
Space group Amm2 (No. 38)
One atom of each set of equivalent atoms:
Mg 0.000 0.000 0.000
Mg 0.000 0.000 0.492
Mg 0.000 0.241 0.267
Mg 0.500 0.244 0.115
V 0.500 0.000 0.853
C 0.500 0.000 0.271

Largest 6 diffraction maxima, sorted by position, 10 to 90 degrees two-theta:
2θ = 17.11°, I 23; 2θ = 26.09°, I 22; 2θ = 34.61°, I 36; 2θ = 36.42°, I 76; 2θ = 39.71°, I 40; 2θ = 40.06°, I 100

(2)
Diffraction record for Mg14WC. The powder XRD pattern is theoretical, not measured: it uses a structure optimized by DFT (PBE) and λ = 1.5418 Å (Cu Kα).
Neutral-atom scattering factors, no anomalous dispersion.

Crystal structure
Cell lengths 9.142, 7.811, 9.730 Å; angles 90.00, 90.00, 90.00 degrees
Space group Amm2 (No. 38)
One atom of each set of equivalent atoms:
Mg 0.000 0.000 0.000
Mg 0.000 0.000 0.454
Mg 0.000 0.224 0.732
Mg 0.251 0.000 0.233
Mg 0.253 0.000 0.657
Mg 0.286 0.208 0.949
Mg 0.500 0.231 0.693
W 0.500 0.000 0.444
C 0.500 0.000 0.249

Largest 6 diffraction maxima, sorted by position, 10 to 90 degrees two-theta:
2θ = 14.54°, I 61; 2θ = 17.50°, I 78; 2θ = 24.35°, I 38; 2θ = 32.86°, I 21; 2θ = 35.42°, I 100; 2θ = 35.84°, I 33

(3)
Diffraction record for Mg14WC. The powder XRD pattern is theoretical, not measured: it uses a structure optimized by DFT (PBE) and λ = 1.5418 Å (Cu Kα).
Neutral-atom scattering factors, no anomalous dispersion.

Crystal structure
Cell lengths 6.2296, 6.2296, 9.5262 Å; angles 90.00, 90.00, 120.00 degrees
Space group P-6m2 (No. 187)
One atom of each set of equivalent atoms:
Mg 0.0000 0.0000 0.2451
Mg 0.0263 0.5131 0.2592
Mg 0.3297 0.1648 0.5000
Mg 0.3394 0.1697 0.0000
W 0.3333 0.6667 0.0000
C 0.3333 0.6667 0.5000

Largest 6 diffraction maxima, sorted by position, 10 to 90 degrees two-theta:
2θ = 16.43°, I 43; 2θ = 18.90°, I 70; 2θ = 30.19°, I 25; 2θ = 33.21°, I 30; 2θ = 37.77°, I 23; 2θ = 38.35°, I 100

(4)
Diffraction record for YMg14C. The powder XRD pattern is theoretical, not measured: it uses a structure optimized by DFT (PBE) and λ = 1.5418 Å (Cu Kα).
Neutral-atom scattering factors, no anomalous dispersion.

Crystal structure
Cell lengths 10.358, 5.949, 11.733 Å; angles 90.00, 90.00, 90.00 degrees
Space group Amm2 (No. 38)
One atom of each set of equivalent atoms:
Y 0.000 0.000 0.000
Mg 0.000 0.233 0.265
Mg 0.147 0.000 0.580
Mg 0.256 0.000 0.138
Mg 0.257 0.246 0.881
Mg 0.500 0.000 0.485
Mg 0.500 0.000 0.976
Mg 0.500 0.247 0.724
C 0.000 0.000 0.425

Largest 6 diffraction maxima, sorted by position, 10 to 90 degrees two-theta:
2θ = 30.90°, I 31; 2θ = 32.39°, I 29; 2θ = 33.79°, I 66; 2θ = 34.64°, I 43; 2θ = 35.16°, I 89; 2θ = 38.11°, I 100